Entry 1:
Diffraction record for Ba2HoMgCu4O8. The powder diffractogram is theoretical, not measured: it uses a GGA-PBE-relaxed structure and Cu Kα, 1.54184 Å.
Intensities are scaled so that the largest is 100.

Principal peaks in the range 10° ≤ 2θ ≤ 90°, low angle first:
d/Å	2theta	Rel. int.
2.945	30.35	26
2.892	30.92	39
2.735	32.75	100
2.627	34.13	81
2.570	34.92	26
2.021	44.85	28
1.871	48.68	26
1.591	57.96	25

Structural model:
a b c (Å): 4.0425 3.7412 14.8642
angles (deg): 90.00 96.78 90.00
Positions (direct):
Ba  0.1136  0.0000  0.2472
Ba  0.8864  0.0000  0.7528
Ho  0.0000  0.0000  0.0000
Mg  0.0000  0.0000  0.5000
Cu  0.3390  0.5000  0.5892
Cu  0.4487  0.5000  0.8915
Cu  0.5513  0.5000  0.1085
Cu  0.6610  0.5000  0.4108
O  0.0479  0.5000  0.0996
O  0.2035  0.5000  0.4471
O  0.3689  0.5000  0.7148
O  0.4554  0.0000  0.9057
O  0.5446  0.0000  0.0943
O  0.6311  0.5000  0.2852
O  0.7965  0.5000  0.5529
O  0.9521  0.5000  0.9004

---

Entry 2:
Diffraction record for LiAg2F4. The powder diffractogram is theoretical, not measured: it uses a GGA-PBE-relaxed structure and Cu Kα, 1.54184 Å.
Intensities are scaled so that the largest is 100.

Principal peaks in the range 10° ≤ 2θ ≤ 90°, low angle first:
d/Å	2theta	Rel. int.
4.057	21.91	39
3.140	28.43	96
3.117	28.64	100
3.087	28.93	22
2.575	34.84	21
1.870	48.69	28
1.792	50.96	22
1.788	51.09	27

Structural model:
a b c (Å): 8.1144 8.1144 6.1735
angles (deg): 90.00 90.00 90.71
Positions (direct):
Li  0.2500  0.2500  0.0292
Li  0.2500  0.2500  0.5292
Li  0.7500  0.7500  0.4708
Li  0.7500  0.7500  0.9708
Ag  0.0808  0.5808  0.2500
Ag  0.0949  0.9051  0.7500
Ag  0.4051  0.5949  0.7500
Ag  0.4192  0.9192  0.2500
Ag  0.5808  0.0808  0.7500
Ag  0.5949  0.4051  0.2500
Ag  0.9051  0.0949  0.2500
Ag  0.9192  0.4192  0.7500
F  0.0110  0.1939  0.5420
F  0.0207  0.3027  0.0672
F  0.1939  0.0110  0.0420
F  0.1973  0.4793  0.5672
F  0.3027  0.0207  0.5672
F  0.3061  0.4890  0.0420
F  0.4793  0.1973  0.0672
F  0.4890  0.3061  0.5420
F  0.5110  0.6939  0.4580
F  0.5207  0.8027  0.9328
F  0.6939  0.5110  0.9580
F  0.6973  0.9793  0.4328
F  0.8027  0.5207  0.4328
F  0.8061  0.9890  0.9580
F  0.9793  0.6973  0.9328
F  0.9890  0.8061  0.4580

---

Entry 3:
Diffraction record for Rb2O. The powder diffractogram is theoretical, not measured: it uses a GGA-PBE-relaxed structure and Cu Kα, 1.54184 Å.
Intensities are scaled so that the largest is 100.

Principal peaks in the range 10° ≤ 2θ ≤ 90°, low angle first:
d/Å	2theta	Rel. int.
3.622	24.58	28
3.316	26.89	32
3.179	28.07	100
2.894	30.90	56
2.446	36.75	34
1.926	47.19	19
1.887	48.23	17
1.747	52.38	25

Structural model:
a b c (Å): 6.4332 6.6317 4.3820
angles (deg): 90.00 90.00 90.00
Positions (direct):
Rb  0.1471  0.2239  0.0000
Rb  0.3529  0.7239  0.5000
Rb  0.6471  0.2761  0.5000
Rb  0.8529  0.7761  0.0000
O  0.0000  0.0000  0.5000
O  0.5000  0.5000  0.0000

---

Entry 4:
Diffraction record for Na3SmCl6. The powder diffractogram is theoretical, not measured: it uses a GGA-PBE-relaxed structure and Cu Kα, 1.54184 Å.
Intensities are scaled so that the largest is 100.

Principal peaks in the range 10° ≤ 2θ ≤ 90°, low angle first:
d/Å	2theta	Rel. int.
6.214	14.25	71
5.381	16.47	100
3.805	23.38	47
3.245	27.49	44
2.691	33.30	83
2.407	37.37	48
1.903	47.81	55
1.794	50.91	24

Structural model:
a b c (Å): 7.6104 7.6104 7.6104
angles (deg): 60.00 60.00 60.00
Positions (direct):
Na  0.0000  0.0000  0.0000
Na  0.2500  0.2500  0.2500
Na  0.7500  0.7500  0.7500
Sm  0.5000  0.5000  0.5000
Cl  0.2512  0.2512  0.7488
Cl  0.2512  0.7488  0.2512
Cl  0.2512  0.7488  0.7488
Cl  0.7488  0.2512  0.2512
Cl  0.7488  0.2512  0.7488
Cl  0.7488  0.7488  0.2512

---

Entry 5:
Diffraction record for TmHfIr2. The powder diffractogram is theoretical, not measured: it uses a GGA-PBE-relaxed structure and Cu Kα, 1.54184 Å.
Intensities are scaled so that the largest is 100.

Principal peaks in the range 10° ≤ 2θ ≤ 90°, low angle first:
d/Å	2theta	Rel. int.
2.356	38.20	100
1.666	55.13	18
1.360	69.05	36
1.178	81.75	11

Structural model:
a b c (Å): 4.7120 4.7120 4.7120
angles (deg): 60.00 60.00 60.00
Positions (direct):
Tm  0.0000  0.0000  0.0000
Hf  0.5000  0.5000  0.5000
Ir  0.2500  0.2500  0.2500
Ir  0.7500  0.7500  0.7500

---

Entry 6:
Diffraction record for Ag3SBr. The powder diffractogram is theoretical, not measured: it uses a GGA-PBE-relaxed structure and Cu Kα, 1.54184 Å.
Intensities are scaled so that the largest is 100.

Principal peaks in the range 10° ≤ 2θ ≤ 90°, low angle first:
d/Å	2theta	Rel. int.
3.463	25.73	31
3.399	26.22	42
2.885	31.00	100
2.779	32.21	70
2.457	36.58	43
2.413	37.27	57
2.210	40.83	31
1.721	53.21	28

Structural model:
a b c (Å): 4.9217 4.8253 4.9807
angles (deg): 90.00 93.28 90.00
Positions (direct):
Ag  0.0000  0.0000  0.0000
Ag  0.1147  0.5000  0.6503
Ag  0.5904  0.0000  0.4097
S  0.1010  0.0000  0.5071
Br  0.6038  0.5000  0.0184

---

Entry 7:
Diffraction record for Sr2Sb3. The powder diffractogram is theoretical, not measured: it uses a GGA-PBE-relaxed structure and Cu Kα, 1.54184 Å.
Intensities are scaled so that the largest is 100.

Principal peaks in the range 10° ≤ 2θ ≤ 90°, low angle first:
d/Å	2theta	Rel. int.
4.700	18.88	39
3.334	26.74	39
3.085	28.94	100
3.015	29.63	74
2.972	30.07	83
2.895	30.88	70
2.350	38.30	67
2.247	40.14	60

Structural model:
a b c (Å): 6.7391 13.1147 15.3479
angles (deg): 90.00 90.04 90.00
Positions (direct):
Sr  0.0058  0.2214  0.2443
Sr  0.0058  0.2786  0.7443
Sr  0.2469  0.1270  0.9960
Sr  0.2469  0.3730  0.4960
Sr  0.2538  0.6239  0.0036
Sr  0.2538  0.8761  0.5036
Sr  0.4926  0.5286  0.2475
Sr  0.4926  0.9714  0.7475
Sr  0.5074  0.0286  0.2525
Sr  0.5074  0.4714  0.7525
Sr  0.7462  0.1239  0.4964
Sr  0.7462  0.3761  0.9964
Sr  0.7531  0.6270  0.5040
Sr  0.7531  0.8730  0.0040
Sr  0.9942  0.7214  0.2557
Sr  0.9942  0.7786  0.7557
Sb  0.0340  0.0312  0.6620
Sb  0.0340  0.4688  0.1620
Sb  0.0848  0.5453  0.6541
Sb  0.0848  0.9547  0.1541
Sb  0.2357  0.1167  0.4234
Sb  0.2357  0.3833  0.9234
Sb  0.2628  0.6315  0.4283
Sb  0.2628  0.8685  0.9283
Sb  0.4196  0.7046  0.6568
Sb  0.4196  0.7954  0.1568
Sb  0.4646  0.2215  0.6593
Sb  0.4646  0.2785  0.1593
Sb  0.5354  0.7215  0.8407
Sb  0.5354  0.7785  0.3407
Sb  0.5804  0.2046  0.8432
Sb  0.5804  0.2954  0.3432
Sb  0.7372  0.1315  0.0717
Sb  0.7372  0.3685  0.5717
Sb  0.7643  0.6167  0.0766
Sb  0.7643  0.8833  0.5766
Sb  0.9152  0.0453  0.8459
Sb  0.9152  0.4547  0.3459
Sb  0.9660  0.5312  0.8380
Sb  0.9660  0.9688  0.3380

---

Entry 8:
Diffraction record for GdBN2. The powder diffractogram is theoretical, not measured: it uses a GGA-PBE-relaxed structure and Cu Kα, 1.54184 Å.
Intensities are scaled so that the largest is 100.

Principal peaks in the range 10° ≤ 2θ ≤ 90°, low angle first:
d/Å	2theta	Rel. int.
5.973	14.83	70
3.387	26.31	32
2.986	29.92	52
2.835	31.56	100
2.642	33.93	82
1.792	50.96	39
1.597	57.73	27
1.444	64.54	22

Structural model:
a b c (Å): 7.2571 7.2571 7.2571
angles (deg): 110.77 110.77 110.77
Positions (direct):
Gd  0.9999  0.4537  0.5464
Gd  0.0464  0.9537  0.4999
Gd  0.4537  0.5464  0.9999
Gd  0.4999  0.0464  0.9537
Gd  0.5464  0.9999  0.4537
Gd  0.9537  0.4999  0.0464
B  0.1195  0.8769  0.9980
B  0.3769  0.6195  0.4980
B  0.4980  0.3769  0.6195
B  0.6195  0.4980  0.3769
B  0.8769  0.9980  0.1195
B  0.9980  0.1195  0.8769
N  0.1218  0.9975  0.8726
N  0.2444  0.7554  0.9993
N  0.2554  0.7444  0.4993
N  0.3726  0.4975  0.6218
N  0.4975  0.6218  0.3726
N  0.4993  0.2554  0.7444
N  0.6218  0.3726  0.4975
N  0.7444  0.4993  0.2554
N  0.7554  0.9993  0.2444
N  0.8726  0.1218  0.9975
N  0.9975  0.8726  0.1218
N  0.9993  0.2444  0.7554

---

Entry 9:
Diffraction record for LiPaPt2. The powder diffractogram is theoretical, not measured: it uses a GGA-PBE-relaxed structure and Cu Kα, 1.54184 Å.
Intensities are scaled so that the largest is 100.

Principal peaks in the range 10° ≤ 2θ ≤ 90°, low angle first:
d/Å	2theta	Rel. int.
3.868	22.99	31
3.350	26.61	8
2.369	37.98	100
2.020	44.87	16
1.675	54.81	18
1.537	60.20	7
1.368	68.62	36
1.184	81.22	12

Structural model:
a b c (Å): 4.7377 4.7377 4.7377
angles (deg): 60.00 60.00 60.00
Positions (direct):
Li  0.0000  0.0000  0.0000
Pa  0.5000  0.5000  0.5000
Pt  0.2500  0.2500  0.2500
Pt  0.7500  0.7500  0.7500

---

Entry 10:
Diffraction record for BaAl2P2O10. The powder diffractogram is theoretical, not measured: it uses a GGA-PBE-relaxed structure and Cu Kα, 1.54184 Å.
Intensities are scaled so that the largest is 100.

Principal peaks in the range 10° ≤ 2θ ≤ 90°, low angle first:
d/Å	2theta	Rel. int.
5.639	15.72	53
3.301	27.01	78
3.287	27.13	44
3.205	27.84	97
3.041	29.37	100
3.006	29.72	59
2.984	29.95	44
2.286	39.41	44

Structural model:
a b c (Å): 4.9796 6.1210 6.6990
angles (deg): 110.71 106.65 93.12
Positions (direct):
Ba  0.0000  0.0000  0.0000
Al  0.3132  0.3576  0.7350
Al  0.6868  0.6424  0.2650
P  0.3189  0.8009  0.5884
P  0.6811  0.1991  0.4116
O  0.0734  0.7671  0.3734
O  0.2372  0.6506  0.7119
O  0.3268  0.4754  0.0485
O  0.3876  0.0616  0.7668
O  0.4033  0.2542  0.4651
O  0.5967  0.7458  0.5349
O  0.6124  0.9384  0.2332
O  0.6732  0.5246  0.9515
O  0.7628  0.3494  0.2881
O  0.9266  0.2329  0.6266

---

Entry 11:
Diffraction record for Cs2SnAs2. The powder diffractogram is theoretical, not measured: it uses a GGA-PBE-relaxed structure and Cu Kα, 1.54184 Å.
Intensities are scaled so that the largest is 100.

Principal peaks in the range 10° ≤ 2θ ≤ 90°, low angle first:
d/Å	2theta	Rel. int.
6.989	12.67	40
4.212	21.09	66
3.364	26.49	100
3.047	29.31	43
2.837	31.53	44
2.714	33.00	38
2.639	33.98	43
2.570	34.92	82

Structural model:
a b c (Å): 9.1607 9.1607 9.1607
angles (deg): 128.85 70.84 134.50
Positions (direct):
Cs  0.1452  0.1640  0.3092
Cs  0.3548  0.6640  0.0188
Cs  0.6452  0.3360  0.9812
Cs  0.8548  0.8360  0.6908
Sn  0.2500  0.7500  0.5000
Sn  0.7500  0.2500  0.5000
As  0.0990  0.6726  0.7716
As  0.4010  0.1726  0.5737
As  0.5990  0.8274  0.4263
As  0.9010  0.3274  0.2284